1.
This entry pairs a crystal structure of KSrSbWO6 with its theoretical powder XRD pattern. Radiation: Cu Kα X-rays. Structure: the PBE+U geometry in the Materials Project.
Kinematic intensities with the Lorentz-polarization factor, no thermal factor.

Principal peaks in the range 2θ from 10° to 80°, in order of rising 2θ:
- 2θ 18.26, I 7
- 2θ 21.11, I 32
- 2θ 30.03, I 100
- 2θ 42.90, I 11
- 2θ 43.03, I 21
- 2θ 53.33, I 41
- 2θ 62.39, I 13
- 2θ 70.87, I 12

Structural model:
Unit cell a=8.4060 b=8.4105 c=8.4319 alpha=90.00 beta=90.00 gamma=90.00
Sites, in units of the cell vectors:
K 0.2500 0.2500 0.2500
K 0.2500 0.7500 0.7500
K 0.7500 0.2500 0.2500
K 0.7500 0.7500 0.7500
Sr 0.2500 0.2500 0.7500
Sr 0.2500 0.7500 0.2500
Sr 0.7500 0.2500 0.7500
Sr 0.7500 0.7500 0.2500
Sb 0.0000 0.0000 0.0000
Sb 0.0000 0.5000 0.5000
Sb 0.5000 0.0000 0.5000
Sb 0.5000 0.5000 0.0000
W 0.0000 0.0000 0.5000
W 0.0000 0.5000 0.0000
W 0.5000 0.0000 0.0000
W 0.5000 0.5000 0.5000
O 0.0149 0.0261 0.7316
O 0.0149 0.4739 0.7684
O 0.0161 0.7312 0.9936
O 0.0161 0.7688 0.5064
O 0.2309 0.0137 0.4851
O 0.2309 0.4863 0.0149
O 0.2691 0.0137 0.0149
O 0.2691 0.4863 0.4851
O 0.4839 0.7312 0.5064
O 0.4839 0.7688 0.9936
O 0.4851 0.0261 0.7684
O 0.4851 0.4739 0.7316
O 0.5149 0.5261 0.2684
O 0.5149 0.9739 0.2316
O 0.5161 0.2312 0.0064
O 0.5161 0.2688 0.4936
O 0.7309 0.5137 0.5149
O 0.7309 0.9863 0.9851
O 0.7691 0.5137 0.9851
O 0.7691 0.9863 0.5149
O 0.9839 0.2312 0.4936
O 0.9839 0.2688 0.0064
O 0.9851 0.5261 0.2316
O 0.9851 0.9739 0.2684


2.
This entry pairs a crystal structure of KSrSbWO6 with its theoretical powder XRD pattern. Radiation: Cu Kα X-rays. Structure: the PBE+U geometry in the Materials Project.
Kinematic intensities with the Lorentz-polarization factor, no thermal factor.

Principal peaks in the range 2θ from 10° to 80°, in order of rising 2θ:
- 2θ 18.21, I 10
- 2θ 21.06, I 33
- 2θ 29.95, I 100
- 2θ 42.87, I 32
- 2θ 48.23, I 14
- 2θ 53.18, I 40
- 2θ 62.24, I 19
- 2θ 70.60, I 18

Structural model:
Unit cell a=5.9665 b=5.9665 c=5.9665 alpha=60.00 beta=60.00 gamma=60.00
Sites, in units of the cell vectors:
K 0.0000 0.0000 0.0000
Sr 0.5000 0.5000 0.5000
Sb 0.2500 0.2500 0.2500
W 0.7500 0.7500 0.7500
O 0.5183 0.5183 0.9817
O 0.5183 0.9817 0.5183
O 0.5183 0.9817 0.9817
O 0.9817 0.5183 0.5183
O 0.9817 0.5183 0.9817
O 0.9817 0.9817 0.5183


3.
This entry pairs a crystal structure of KV2SbO8 with its theoretical powder XRD pattern. Radiation: Cu Kα X-rays. Structure: the PBE+U geometry in the Materials Project.
Kinematic intensities with the Lorentz-polarization factor, no thermal factor.

Principal peaks in the range 2θ from 10° to 80°, in order of rising 2θ:
- 2θ 15.70, I 66
- 2θ 18.77, I 45
- 2θ 19.74, I 54
- 2θ 23.78, I 47
- 2θ 26.03, I 80
- 2θ 28.62, I 100
- 2θ 30.57, I 88
- 2θ 31.72, I 68

Structural model:
Unit cell a=14.8904 b=5.6432 c=8.6568 alpha=90.00 beta=90.00 gamma=90.00
Sites, in units of the cell vectors:
K 0.1189 0.2500 0.0502
K 0.3811 0.7500 0.5502
K 0.6189 0.2500 0.4498
K 0.8811 0.7500 0.9498
V 0.0273 0.7500 0.2929
V 0.2160 0.2500 0.4915
V 0.2840 0.7500 0.9915
V 0.4727 0.2500 0.7929
V 0.5273 0.7500 0.2071
V 0.7160 0.2500 0.0085
V 0.7840 0.7500 0.5085
V 0.9727 0.2500 0.7071
Sb 0.1177 0.7500 0.6868
Sb 0.3823 0.2500 0.1868
Sb 0.6177 0.7500 0.8132
Sb 0.8823 0.2500 0.3132
O 0.0360 0.5031 0.7753
O 0.0360 0.9969 0.7753
O 0.0454 0.7500 0.4927
O 0.1222 0.7500 0.1978
O 0.1350 0.2500 0.3649
O 0.1787 0.7500 0.8917
O 0.2050 0.5096 0.6087
O 0.2050 0.9904 0.6087
O 0.2950 0.0096 0.1087
O 0.2950 0.4904 0.1087
O 0.3213 0.2500 0.3917
O 0.3650 0.7500 0.8649
O 0.3778 0.2500 0.6978
O 0.4546 0.2500 0.9927
O 0.4640 0.0031 0.2753
O 0.4640 0.4969 0.2753
O 0.5360 0.5031 0.7247
O 0.5360 0.9969 0.7247
O 0.5454 0.7500 0.0073
O 0.6222 0.7500 0.3022
O 0.6350 0.2500 0.1351
O 0.6787 0.7500 0.6083
O 0.7050 0.5096 0.8913
O 0.7050 0.9904 0.8913
O 0.7950 0.0096 0.3913
O 0.7950 0.4904 0.3913
O 0.8213 0.2500 0.1083
O 0.8650 0.7500 0.6351
O 0.8778 0.2500 0.8022
O 0.9546 0.2500 0.5073
O 0.9640 0.0031 0.2247
O 0.9640 0.4969 0.2247